The following is a theoretical powder X-ray diffraction pattern of CsLa2Cu3S5. It was derived from a cell relaxed with PBE, using copper Kα.

Largest 10 diffraction maxima, most intense first, 2θ from 5° to 70°:
2theta	I/Imax
27.30	100
30.42	70
25.47	69
30.56	57
35.39	54
46.45	53
29.24	53
44.31	46
39.85	37
35.80	36

Crystal structure
Cell lengths 4.0883, 14.2747, 17.6285 Å; angles 90.00, 90.00, 90.00 degrees
Space group Cmcm (No. 63)
Unique sites:
Cs 0.0000 0.0629 0.2500
La 0.0000 0.1912 0.5908
Cu 0.0000 0.3374 0.2500
Cu 0.0000 0.4160 0.5346
S 0.0000 0.1627 0.0687
S 0.0000 0.2260 0.7500
S 0.0000 0.4433 0.1053